This entry pairs a crystal structure of SbHIrAuBr with its theoretical powder diffraction line list. Radiation: CuKα. Structure: a PBE-relaxed structure.

Most intense lines, 2θ = 10–80°, by angle:
| d (Å) | I (rel.) |
| --- | --- |
| 5.980 | 39 |
| 4.020 | 51 |
| 2.665 | 100 |
| 2.311 | 44 |
| 2.296 | 52 |
| 2.234 | 50 |

Cell: 4.205 3.641 6.255 Å, 90.00 107.06 90.00°
Atoms (fractional coordinates):
Sb  0.000  0.000  0.000
H  0.883  0.000  0.690
Ir  0.552  0.500  0.042
Au  0.609  0.000  0.385
Br  0.339  0.500  0.630

---

This entry pairs a crystal structure of NaH4AuBr4O2 with its theoretical powder diffraction line list. Radiation: CuKα. Structure: a PBE-relaxed structure.

Most intense lines, 2θ = 10–80°, by angle:
| d (Å) | I (rel.) |
| --- | --- |
| 7.777 | 100 |
| 5.412 | 26 |
| 3.768 | 61 |
| 3.391 | 51 |
| 2.582 | 50 |
| 2.451 | 44 |

Cell: 13.455 7.536 9.530 Å, 90.00 90.00 90.00°
Atoms (fractional coordinates):
Na  0.012  0.250  0.057
Na  0.488  0.750  0.557
Na  0.512  0.250  0.443
Na  0.988  0.750  0.943
H  0.142  0.030  0.876
H  0.142  0.470  0.876
H  0.171  0.541  0.023
H  0.171  0.959  0.023
H  0.329  0.041  0.523
H  0.329  0.459  0.523
H  0.358  0.530  0.376
H  0.358  0.970  0.376
H  0.642  0.030  0.624
H  0.642  0.470  0.624
H  0.671  0.541  0.477
H  0.671  0.959  0.477
H  0.829  0.041  0.977
H  0.829  0.459  0.977
H  0.858  0.530  0.124
H  0.858  0.970  0.124
Au  0.066  0.250  0.510
Au  0.434  0.750  0.010
Au  0.566  0.250  0.990
Au  0.934  0.750  0.490
Br  0.045  0.750  0.282
Br  0.083  0.750  0.643
Br  0.175  0.250  0.301
Br  0.214  0.250  0.667
Br  0.286  0.750  0.167
Br  0.325  0.750  0.801
Br  0.417  0.250  0.143
Br  0.455  0.250  0.782
Br  0.545  0.750  0.218
Br  0.583  0.750  0.857
Br  0.675  0.250  0.199
Br  0.714  0.250  0.833
Br  0.786  0.750  0.333
Br  0.825  0.750  0.699
Br  0.917  0.250  0.357
Br  0.955  0.250  0.718
O  0.114  0.001  0.968
O  0.114  0.499  0.968
O  0.386  0.501  0.468
O  0.386  0.999  0.468
O  0.614  0.001  0.532
O  0.614  0.499  0.532
O  0.886  0.501  0.032
O  0.886  0.999  0.032

---

This entry pairs a crystal structure of Rb6H2AuBr3 with its theoretical powder diffraction line list. Radiation: CuKα. Structure: a PBE-relaxed structure.

Most intense lines, 2θ = 10–80°, by angle:
| d (Å) | I (rel.) |
| --- | --- |
| 3.388 | 100 |
| 3.367 | 48 |
| 2.404 | 18 |
| 2.388 | 92 |
| 1.947 | 20 |
| 1.512 | 17 |

Cell: 10.659 10.659 9.618 Å, 103.15 103.15 25.88°
Atoms (fractional coordinates):
Rb  0.010  0.010  0.260
Rb  0.326  0.326  0.431
Rb  0.330  0.330  0.897
Rb  0.670  0.670  0.103
Rb  0.674  0.674  0.569
Rb  0.990  0.990  0.740
H  0.172  0.172  0.342
H  0.828  0.828  0.658
Au  0.500  0.500  0.000
Br  0.163  0.163  0.830
Br  0.500  0.500  0.500
Br  0.837  0.837  0.170

---

This entry pairs a crystal structure of H3AuSBr3 with its theoretical powder diffraction line list. Radiation: CuKα. Structure: a PBE-relaxed structure.

Most intense lines, 2θ = 10–80°, by angle:
| d (Å) | I (rel.) |
| --- | --- |
| 5.871 | 100 |
| 5.390 | 41 |
| 4.058 | 18 |
| 2.936 | 55 |
| 2.695 | 28 |
| 1.943 | 25 |

Cell: 5.400 8.270 8.353 Å, 90.00 93.50 90.00°
Atoms (fractional coordinates):
H  0.000  0.125  0.000
H  0.000  0.875  0.500
H  0.198  0.306  0.101
H  0.198  0.694  0.601
H  0.998  0.348  0.888
H  0.998  0.652  0.388
Au  0.725  0.260  0.423
Au  0.725  0.740  0.923
S  0.178  0.239  0.950
S  0.178  0.761  0.450
Br  0.224  0.262  0.410
Br  0.224  0.738  0.910
Br  0.711  0.499  0.746
Br  0.711  0.501  0.246
Br  0.737  0.025  0.610
Br  0.737  0.975  0.110

---

This entry pairs a crystal structure of HfAu2Br6 with its theoretical powder diffraction line list. Radiation: CuKα. Structure: a PBE-relaxed structure.

Most intense lines, 2θ = 10–80°, by angle:
| d (Å) | I (rel.) |
| --- | --- |
| 7.733 | 100 |
| 7.171 | 42 |
| 3.585 | 29 |
| 3.201 | 25 |
| 2.509 | 35 |
| 2.237 | 23 |

Cell: 10.580 10.580 6.513 Å, 94.66 94.66 93.91°
Atoms (fractional coordinates):
Hf  0.083  0.917  0.750
Hf  0.917  0.083  0.250
Au  0.392  0.393  0.711
Au  0.393  0.392  0.211
Au  0.607  0.608  0.789
Au  0.608  0.607  0.289
Br  0.049  0.158  0.605
Br  0.075  0.701  0.870
Br  0.158  0.049  0.105
Br  0.265  0.503  0.457
Br  0.299  0.925  0.630
Br  0.497  0.735  0.043
Br  0.503  0.265  0.957
Br  0.701  0.075  0.370
Br  0.735  0.497  0.543
Br  0.842  0.951  0.895
Br  0.925  0.299  0.130
Br  0.951  0.842  0.395

---

This entry pairs a crystal structure of Hg4AuBr2 with its theoretical powder diffraction line list. Radiation: CuKα. Structure: a PBE-relaxed structure.

Most intense lines, 2θ = 10–80°, by angle:
| d (Å) | I (rel.) |
| --- | --- |
| 5.182 | 58 |
| 3.482 | 57 |
| 2.742 | 100 |
| 2.632 | 39 |
| 1.939 | 42 |
| 1.899 | 60 |

Cell: 8.798 8.798 8.798 Å, 143.67 143.67 52.32°
Atoms (fractional coordinates):
Hg  0.000  0.500  0.500
Hg  0.168  0.168  0.000
Hg  0.500  0.000  0.500
Hg  0.832  0.832  0.000
Au  0.000  0.000  0.000
Br  0.332  0.332  0.000
Br  0.668  0.668  0.000

---

This entry pairs a crystal structure of Hg7AuBr12 with its theoretical powder diffraction line list. Radiation: CuKα. Structure: a PBE-relaxed structure.

Most intense lines, 2θ = 10–80°, by angle:
| d (Å) | I (rel.) |
| --- | --- |
| 8.100 | 35 |
| 7.982 | 65 |
| 4.050 | 20 |
| 3.042 | 100 |
| 2.214 | 32 |
| 2.094 | 34 |

Cell: 9.801 9.801 9.801 Å, 109.07 109.07 109.07°
Atoms (fractional coordinates):
Hg  0.000  0.000  0.000
Hg  0.170  0.407  0.469
Hg  0.407  0.469  0.170
Hg  0.469  0.170  0.407
Hg  0.531  0.830  0.593
Hg  0.593  0.531  0.830
Hg  0.830  0.593  0.531
Au  0.500  0.500  0.500
Br  0.062  0.089  0.332
Br  0.089  0.332  0.062
Br  0.171  0.683  0.511
Br  0.317  0.489  0.829
Br  0.332  0.062  0.089
Br  0.489  0.829  0.317
Br  0.511  0.171  0.683
Br  0.668  0.938  0.911
Br  0.683  0.511  0.171
Br  0.829  0.317  0.489
Br  0.911  0.668  0.938
Br  0.938  0.911  0.668

---

This entry pairs a crystal structure of HgAu2Br6 with its theoretical powder diffraction line list. Radiation: CuKα. Structure: a PBE-relaxed structure.

Most intense lines, 2θ = 10–80°, by angle:
| d (Å) | I (rel.) |
| --- | --- |
| 6.984 | 55 |
| 6.068 | 85 |
| 4.758 | 90 |
| 4.046 | 100 |
| 2.578 | 61 |
| 2.022 | 57 |

Cell: 9.515 9.515 7.311 Å, 97.51 97.51 83.59°
Atoms (fractional coordinates):
Hg  0.176  0.824  0.750
Hg  0.824  0.176  0.250
Au  0.176  0.342  0.373
Au  0.342  0.176  0.873
Au  0.658  0.824  0.127
Au  0.824  0.658  0.627
Br  0.010  0.706  0.423
Br  0.022  0.681  0.917
Br  0.294  0.990  0.077
Br  0.319  0.978  0.583
Br  0.364  0.371  0.160
Br  0.371  0.364  0.660
Br  0.629  0.636  0.340
Br  0.636  0.629  0.840
Br  0.681  0.022  0.417
Br  0.706  0.010  0.923
Br  0.978  0.319  0.083
Br  0.990  0.294  0.577

---

This entry pairs a crystal structure of Hg2Au2Br7 with its theoretical powder diffraction line list. Radiation: CuKα. Structure: a PBE-relaxed structure.

Most intense lines, 2θ = 10–80°, by angle:
| d (Å) | I (rel.) |
| --- | --- |
| 7.570 | 100 |
| 6.231 | 45 |
| 6.071 | 34 |
| 3.654 | 28 |
| 3.395 | 48 |
| 2.456 | 30 |

Cell: 8.218 8.218 13.804 Å, 95.78 95.78 111.34°
Atoms (fractional coordinates):
Hg  0.105  0.232  0.473
Hg  0.232  0.105  0.973
Hg  0.768  0.895  0.027
Hg  0.895  0.768  0.527
Au  0.025  0.253  0.732
Au  0.253  0.025  0.232
Au  0.747  0.975  0.768
Au  0.975  0.747  0.268
Br  0.018  0.763  0.978
Br  0.179  0.288  0.292
Br  0.196  0.492  0.624
Br  0.237  0.982  0.522
Br  0.271  0.729  0.250
Br  0.288  0.179  0.792
Br  0.492  0.196  0.124
Br  0.508  0.804  0.876
Br  0.712  0.821  0.208
Br  0.729  0.271  0.750
Br  0.763  0.018  0.478
Br  0.804  0.508  0.376
Br  0.821  0.712  0.708
Br  0.982  0.237  0.022

---

This entry pairs a crystal structure of Hg6AuBr2 with its theoretical powder diffraction line list. Radiation: CuKα. Structure: a PBE-relaxed structure.

Most intense lines, 2θ = 10–80°, by angle:
| d (Å) | I (rel.) |
| --- | --- |
| 5.015 | 46 |
| 2.895 | 100 |
| 2.508 | 92 |
| 2.301 | 34 |
| 1.773 | 58 |
| 1.512 | 32 |

Cell: 7.092 7.092 7.092 Å, 60.00 60.00 60.00°
Atoms (fractional coordinates):
Hg  0.224  0.224  0.776
Hg  0.224  0.776  0.224
Hg  0.224  0.776  0.776
Hg  0.776  0.224  0.224
Hg  0.776  0.224  0.776
Hg  0.776  0.776  0.224
Au  0.500  0.500  0.500
Br  0.250  0.250  0.250
Br  0.750  0.750  0.750

---

This entry pairs a crystal structure of HgAu2Br with its theoretical powder diffraction line list. Radiation: CuKα. Structure: a PBE-relaxed structure.

Most intense lines, 2θ = 10–80°, by angle:
| d (Å) | I (rel.) |
| --- | --- |
| 5.458 | 100 |
| 2.729 | 33 |
| 2.463 | 76 |
| 2.245 | 67 |
| 1.828 | 63 |
| 1.261 | 19 |

Cell: 4.925 4.925 5.458 Å, 90.06 90.06 60.03°
Atoms (fractional coordinates):
Hg  0.000  0.000  0.000
Au  0.333  0.333  0.000
Au  0.667  0.667  0.000
Br  0.667  0.667  0.500

---

This entry pairs a crystal structure of Hg6AuIBr2 with its theoretical powder diffraction line list. Radiation: CuKα. Structure: a PBE-relaxed structure.

Most intense lines, 2θ = 10–80°, by angle:
| d (Å) | I (rel.) |
| --- | --- |
| 6.983 | 60 |
| 6.630 | 52 |
| 4.488 | 80 |
| 4.130 | 100 |
| 2.672 | 70 |
| 2.362 | 44 |

Cell: 8.260 8.976 13.819 Å, 90.00 126.48 90.00°
Atoms (fractional coordinates):
Hg  0.058  0.214  0.059
Hg  0.058  0.286  0.559
Hg  0.241  0.534  0.243
Hg  0.241  0.966  0.743
Hg  0.332  0.000  0.500
Hg  0.332  0.500  0.000
Hg  0.668  0.000  0.500
Hg  0.668  0.500  0.000
Hg  0.759  0.034  0.257
Hg  0.759  0.466  0.757
Hg  0.942  0.714  0.441
Hg  0.942  0.786  0.941
Au  0.000  0.000  0.500
Au  0.000  0.500  0.000
I  0.500  0.000  0.000
I  0.500  0.500  0.500
Br  0.183  0.533  0.686
Br  0.183  0.967  0.186
Br  0.817  0.033  0.814
Br  0.817  0.467  0.314